No. 1
Starting from the GGA-PBE geometry in the Materials Project, the powder X-ray diffraction pattern of Tb4Sb3 was computed for Cu Kα.
No peak broadening, texture or thermal motion is included.

The 10 most intense peaks (2θ from 10° to 80°), low angle first:
- 30.66°, I 100, (3 1 0)
- 36.46°, I 70, (3 2 1)
- 43.91°, I 10, (4 2 0)
- 46.17°, I 8, (3 3 2)
- 48.35°, I 19, (4 2 2)
- 50.46°, I 23, (4 3 1)
- 62.04°, I 25, (6 1 1)
- 63.84°, I 12, (6 2 0)
- 65.61°, I 15, (5 4 1)
- 75.81°, I 14, (5 5 2)

Cell and atoms:
```
data_Tb4Sb3
_chemical_formula_sum 'Tb16 Sb12'
_cell_length_a 9.221
_cell_length_b 9.221
_cell_length_c 9.221
_cell_angle_alpha 90.00
_cell_angle_beta 90.00
_cell_angle_gamma 90.00
_symmetry_space_group_name_H-M 'I -4 3 d'
_symmetry_Int_Tables_number 220
_symmetry_space_group_name_Hall 'I -4bd 2c 3'
loop_
_atom_site_label
_atom_site_type_symbol
_atom_site_fract_x
_atom_site_fract_y
_atom_site_fract_z
Tb1 Tb 0.073 0.073 0.073
Sb1 Sb 0.000 0.250 0.375
```

No. 2
Starting from the GGA-PBE geometry in the Materials Project, the powder X-ray diffraction pattern of TbZrSb was computed for Cu Kα.
No peak broadening, texture or thermal motion is included.

The 10 most intense peaks (2θ from 10° to 80°), low angle first:
- 29.47°, I 47, (1 1 0)
- 31.40°, I 95, (1 1 2)
- 32.12°, I 42, (0 0 6)
- 34.01°, I 62, (1 0 5)
- 36.63°, I 100, (1 1 4)
- 42.17°, I 72, (2 0 0)
- 53.98°, I 38, (2 0 6)
- 55.24°, I 31, (2 1 5)
- 61.16°, I 24, (2 2 0)
- 73.45°, I 25, (3 1 4)

Cell and atoms:
```
data_TbZrSb
_chemical_formula_sum 'Tb4 Zr4 Sb4'
_cell_length_a 4.286
_cell_length_b 4.286
_cell_length_c 16.719
_cell_angle_alpha 90.00
_cell_angle_beta 90.00
_cell_angle_gamma 90.00
_symmetry_space_group_name_H-M 'I 4/m m m'
_symmetry_Int_Tables_number 139
_symmetry_space_group_name_Hall '-I 4 2'
loop_
_atom_site_label
_atom_site_type_symbol
_atom_site_fract_x
_atom_site_fract_y
_atom_site_fract_z
Tb1 Tb 0.000 0.000 0.177
Zr1 Zr 0.000 0.500 0.000
Sb1 Sb 0.000 0.000 0.367
```

No. 3
Starting from the GGA-PBE geometry in the Materials Project, the powder X-ray diffraction pattern of Sb2Te was computed for Cu Kα.
No peak broadening, texture or thermal motion is included.

The 10 most intense peaks (2θ from 10° to 80°), low angle first:
- 22.43°, I 17, (2 0 0)
- 29.08°, I 100, (2 1 1)
- 33.26°, I 12, (1 1 2)
- 37.03°, I 36, (2 0 2)
- 43.73°, I 33, (3 2 1)
- 45.78°, I 36, (4 0 0)
- 60.28°, I 18, (4 2 2)
- 65.16°, I 11, (5 2 1)
- 66.74°, I 16, (4 4 0)
- 69.84°, I 12, (2 2 4)

Cell and atoms:
```
data_Sb2Te
_chemical_formula_sum 'Sb8 Te4'
_cell_length_a 7.928
_cell_length_b 7.928
_cell_length_c 6.142
_cell_angle_alpha 90.00
_cell_angle_beta 90.00
_cell_angle_gamma 90.00
_symmetry_space_group_name_H-M 'I 41/a m d'
_symmetry_Int_Tables_number 141
loop_
_symmetry_equiv_pos_as_xyz
'x,y,z'
'-x,-y,-z'
'-y+1/4,x+3/4,z+1/4'
'y+1/4,-x+3/4,-z+1/4'
'-x+1/2,-y,z+1/2'
'x+1/2,y,-z+1/2'
'y+1/4,-x+1/4,z+3/4'
'-y+1/4,x+1/4,-z+3/4'
'x,-y,-z'
'-x,y,z'
'-y+1/4,-x+1/4,-z+3/4'
'y+1/4,x+1/4,z+3/4'
'-x+1/2,y,-z+1/2'
'x+1/2,-y,z+1/2'
'y+1/4,x+3/4,-z+1/4'
'-y+1/4,-x+3/4,z+1/4'
'x+1/2,y+1/2,z+1/2'
'-x+1/2,-y+1/2,-z+1/2'
'-y+3/4,x+1/4,z+3/4'
'y+3/4,-x+1/4,-z+3/4'
'-x,-y+1/2,z'
'x,y+1/2,-z'
'y+3/4,-x+3/4,z+1/4'
'-y+3/4,x+3/4,-z+1/4'
'x+1/2,-y+1/2,-z+1/2'
'-x+1/2,y+1/2,z+1/2'
'-y+3/4,-x+3/4,-z+1/4'
'y+3/4,x+3/4,z+1/4'
'-x,y+1/2,-z'
'x,-y+1/2,z'
'y+3/4,x+1/4,-z+3/4'
'-y+3/4,-x+1/4,z+3/4'
loop_
_atom_site_label
_atom_site_type_symbol
_atom_site_fract_x
_atom_site_fract_y
_atom_site_fract_z
Sb1 Sb 0.000 0.000 0.000
Te1 Te 0.000 0.250 0.375
```

No. 4
Starting from the GGA-PBE geometry in the Materials Project, the powder X-ray diffraction pattern of Sb2Te3 was computed for Cu Kα.
No peak broadening, texture or thermal motion is included.

The 10 most intense peaks (2θ from 10° to 80°), low angle first:
- 27.76°, I 100, (1 0 5)
- 28.62°, I 47, (0 2 0)
- 39.59°, I 20, (2 0 0)
- 39.74°, I 18, (0 0 10)
- 40.30°, I 73, (1 2 5)
- 49.58°, I 20, (2 2 0)
- 49.70°, I 19, (0 2 10)
- 65.33°, I 16, (2 2 10)
- 66.66°, I 16, (1 4 5)
- 72.30°, I 13, (3 2 5)

Cell and atoms:
```
data_Sb2Te3
_chemical_formula_sum 'Sb8 Te12'
_cell_length_a 4.553
_cell_length_b 6.238
_cell_length_c 22.682
_cell_angle_alpha 90.00
_cell_angle_beta 90.00
_cell_angle_gamma 90.00
_symmetry_space_group_name_H-M 'I m m m'
_symmetry_Int_Tables_number 71
_symmetry_space_group_name_Hall '-I 2 2'
loop_
_atom_site_label
_atom_site_type_symbol
_atom_site_fract_x
_atom_site_fract_y
_atom_site_fract_z
Sb1 Sb 0.000 0.000 0.100
Sb2 Sb 0.000 0.000 0.299
Te1 Te 0.000 0.000 0.500
Te2 Te 0.000 0.500 0.110
Te3 Te 0.000 0.500 0.303
Te4 Te 0.000 0.500 0.500
```

What did the second record say?
Starting from the GGA-PBE geometry in the Materials Project, the powder X-ray diffraction pattern of TbZrSb was computed for Cu Kα.
No peak broadening, texture or thermal motion is included.

The 10 most intense peaks (2θ from 10° to 80°), low angle first:
- 29.47°, I 47, (1 1 0)
- 31.40°, I 95, (1 1 2)
- 32.12°, I 42, (0 0 6)
- 34.01°, I 62, (1 0 5)
- 36.63°, I 100, (1 1 4)
- 42.17°, I 72, (2 0 0)
- 53.98°, I 38, (2 0 6)
- 55.24°, I 31, (2 1 5)
- 61.16°, I 24, (2 2 0)
- 73.45°, I 25, (3 1 4)

Cell and atoms:
```
data_TbZrSb
_chemical_formula_sum 'Tb4 Zr4 Sb4'
_cell_length_a 4.286
_cell_length_b 4.286
_cell_length_c 16.719
_cell_angle_alpha 90.00
_cell_angle_beta 90.00
_cell_angle_gamma 90.00
_symmetry_space_group_name_H-M 'I 4/m m m'
_symmetry_Int_Tables_number 139
_symmetry_space_group_name_Hall '-I 4 2'
loop_
_atom_site_label
_atom_site_type_symbol
_atom_site_fract_x
_atom_site_fract_y
_atom_site_fract_z
Tb1 Tb 0.000 0.000 0.177
Zr1 Zr 0.000 0.500 0.000
Sb1 Sb 0.000 0.000 0.367
```